This entry pairs a crystal structure of CaGa2Ni with its computed PXRD pattern. Radiation: Cu Kα. Structure: a crystal structure in the Materials Project, relaxed with GGA-PBE.

Crystal structure
```
data_CaGa2Ni
_cell_length_a 4.0784
_cell_length_b 10.3796
_cell_length_c 6.9817
_cell_angle_alpha 90.00
_cell_angle_beta 90.00
_cell_angle_gamma 90.00
_space_group_name_H-M_alt 'C m c m'
_space_group_IT_number 63
_space_group_name_Hall '-C 2c 2'
loop_
_atom_site_label
_atom_site_fract_x
_atom_site_fract_y
_atom_site_fract_z
_atom_site_occupancy
Ca1 0.0000 0.0568 0.2500 1
Ga1 0.0000 0.3375 0.0563 1
Ni1 0.0000 0.2175 0.7500 1
```

Top 10 peaks for 2θ = 10–90°, in order of rising 2θ:
| hkl | 2θ/deg | d [Å] | I_rel |
| --- | --- | --- | --- |
| 0 2 0 | 17.1 | 5.190 | 100 |
| 1 3 0 | 34.0 | 2.638 | 69 |
| 1 1 2 | 34.9 | 2.569 | 95 |
| 1 3 1 | 36.4 | 2.468 | 61 |
| 0 4 1 | 37.0 | 2.432 | 56 |
| 0 2 3 | 42.6 | 2.124 | 29 |
| 1 3 2 | 43.0 | 2.105 | 71 |
| 0 4 2 | 43.5 | 2.083 | 28 |
| 2 0 0 | 44.4 | 2.039 | 62 |
| 1 1 3 | 45.7 | 1.984 | 89 |